Structure and simulated X-ray diffraction stick pattern of KPaSeS (a structure optimized by DFT (GGA-PBE); Cu Kα).
Kinematic intensities with the Lorentz-polarization factor, no thermal factor.

a = 4.045 Å, b = 4.045 Å, c = 23.820 Å
α = 90.00°, β = 90.00°, γ = 120.00°
Fractional coordinates of all 12 atoms:
K  0.000  0.000  0.000
K  0.333  0.667  0.667
K  0.667  0.333  0.333
Pa  0.000  0.000  0.165
Pa  0.333  0.667  0.831
Pa  0.667  0.333  0.498
Se  0.000  0.000  0.572
Se  0.333  0.667  0.238
Se  0.667  0.333  0.905
S  0.000  0.000  0.765
S  0.333  0.667  0.432
S  0.667  0.333  0.099

Most intense lines, 2θ from 10° to 90°, in order of rising 2θ:
| 2theta | I/Imax |
| --- | --- |
| 11.14 | 100 |
| 25.70 | 23 |
| 26.52 | 63 |
| 31.70 | 78 |
| 36.82 | 39 |
| 39.73 | 16 |
| 44.81 | 33 |
| 46.08 | 21 |
| 46.32 | 20 |
| 55.93 | 15 |
| 65.93 | 16 |
| 74.35 | 13 |



Structure and simulated X-ray diffraction stick pattern of KSmPaS4 (a structure optimized by DFT (GGA-PBE); Cu Kα).
Kinematic intensities with the Lorentz-polarization factor, no thermal factor.

a = 8.471 Å, b = 8.471 Å, c = 8.471 Å
α = 120.53°, β = 119.64°, γ = 89.85°
Fractional coordinates of all 14 atoms:
K  0.375  0.125  0.250
K  0.625  0.875  0.750
Sm  0.000  0.500  0.500
Sm  0.500  0.500  0.000
Pa  0.000  0.000  0.500
Pa  0.000  0.500  0.000
S  0.193  0.735  0.458
S  0.223  0.265  0.958
S  0.225  0.257  0.531
S  0.225  0.694  0.969
S  0.775  0.306  0.031
S  0.775  0.743  0.469
S  0.777  0.735  0.042
S  0.807  0.265  0.542

Most intense lines, 2θ from 10° to 90°, in order of rising 2θ:
| 2theta | I/Imax |
| --- | --- |
| 12.75 | 100 |
| 12.86 | 40 |
| 24.60 | 66 |
| 24.77 | 54 |
| 25.66 | 25 |
| 25.89 | 24 |
| 29.85 | 86 |
| 38.98 | 18 |
| 39.02 | 32 |
| 39.23 | 15 |
| 42.70 | 56 |
| 50.41 | 17 |



Structure and simulated X-ray diffraction stick pattern of K2PaSbSe5 (a structure optimized by DFT (GGA-PBE); Cu Kα).
Kinematic intensities with the Lorentz-polarization factor, no thermal factor.

a = 9.381 Å, b = 9.381 Å, c = 15.094 Å
α = 90.00°, β = 90.00°, γ = 152.91°
Fractional coordinates of all 18 atoms:
K  0.094  0.906  0.500
K  0.139  0.861  0.148
K  0.861  0.139  0.648
K  0.906  0.094  0.000
Pa  0.217  0.783  0.871
Pa  0.783  0.217  0.371
Sb  0.463  0.537  0.275
Sb  0.537  0.463  0.775
Se  0.068  0.932  0.898
Se  0.274  0.726  0.489
Se  0.313  0.687  0.249
Se  0.359  0.641  0.829
Se  0.497  0.503  0.614
Se  0.503  0.497  0.114
Se  0.641  0.359  0.329
Se  0.687  0.313  0.749
Se  0.726  0.274  0.989
Se  0.932  0.068  0.398

Most intense lines, 2θ from 10° to 90°, in order of rising 2θ:
| 2theta | I/Imax |
| --- | --- |
| 11.34 | 41 |
| 11.73 | 92 |
| 15.24 | 53 |
| 23.93 | 34 |
| 27.39 | 100 |
| 29.98 | 59 |
| 31.68 | 34 |
| 36.44 | 40 |
| 41.08 | 31 |
| 44.05 | 26 |
| 47.17 | 29 |
| 51.68 | 26 |



Structure and simulated X-ray diffraction stick pattern of K3Sc2PaSe6 (a structure optimized by DFT (GGA-PBE); Cu Kα).
Kinematic intensities with the Lorentz-polarization factor, no thermal factor.

a = 7.061 Å, b = 7.061 Å, c = 8.048 Å
α = 98.41°, β = 98.41°, γ = 120.00°
Fractional coordinates of all 12 atoms:
K  0.000  0.000  0.000
K  0.335  0.665  0.000
K  0.665  0.335  0.000
Sc  0.167  0.833  0.500
Sc  0.833  0.167  0.500
Pa  0.500  0.500  0.500
Se  0.091  0.433  0.299
Se  0.225  0.225  0.701
Se  0.433  0.091  0.299
Se  0.567  0.909  0.701
Se  0.775  0.775  0.299
Se  0.909  0.567  0.701

Most intense lines, 2θ from 10° to 90°, in order of rising 2θ:
| 2theta | I/Imax |
| --- | --- |
| 11.50 | 43 |
| 14.99 | 11 |
| 16.40 | 10 |
| 29.66 | 100 |
| 37.31 | 18 |
| 40.37 | 32 |
| 44.45 | 35 |
| 46.07 | 9 |
| 50.59 | 13 |
| 54.35 | 17 |
| 66.86 | 9 |
| 72.74 | 14 |



Structure and simulated X-ray diffraction stick pattern of K2ScPa2Se6 (a structure optimized by DFT (GGA-PBE); Cu Kα).
Kinematic intensities with the Lorentz-polarization factor, no thermal factor.

a = 7.035 Å, b = 7.035 Å, c = 8.284 Å
α = 98.17°, β = 98.17°, γ = 119.34°
Fractional coordinates of all 11 atoms:
K  0.169  0.831  0.000
K  0.831  0.169  0.000
Sc  0.000  0.000  0.500
Pa  0.337  0.663  0.500
Pa  0.663  0.337  0.500
Se  0.066  0.391  0.700
Se  0.251  0.251  0.296
Se  0.391  0.066  0.700
Se  0.609  0.934  0.300
Se  0.749  0.749  0.704
Se  0.934  0.609  0.300

Most intense lines, 2θ from 10° to 90°, in order of rising 2θ:
| 2theta | I/Imax |
| --- | --- |
| 11.13 | 100 |
| 16.28 | 13 |
| 25.59 | 13 |
| 29.34 | 40 |
| 29.45 | 72 |
| 36.66 | 31 |
| 39.36 | 13 |
| 39.68 | 25 |
| 44.31 | 25 |
| 44.78 | 12 |
| 45.83 | 13 |
| 54.43 | 13 |



Structure and simulated X-ray diffraction stick pattern of K3ScPa3Te8 (a structure optimized by DFT (GGA-PBE); Cu Kα).
Kinematic intensities with the Lorentz-polarization factor, no thermal factor.

a = 9.956 Å, b = 9.956 Å, c = 9.956 Å
α = 51.68°, β = 51.68°, γ = 51.68°
Fractional coordinates of all 15 atoms:
K  0.000  0.500  0.500
K  0.500  0.000  0.500
K  0.500  0.500  0.000
Sc  0.500  0.500  0.500
Pa  0.000  0.000  0.500
Pa  0.000  0.500  0.000
Pa  0.500  0.000  0.000
Te  0.239  0.239  0.239
Te  0.245  0.730  0.730
Te  0.270  0.270  0.755
Te  0.270  0.755  0.270
Te  0.730  0.245  0.730
Te  0.730  0.730  0.245
Te  0.755  0.270  0.270
Te  0.761  0.761  0.761

Most intense lines, 2θ from 10° to 90°, in order of rising 2θ:
| 2theta | I/Imax |
| --- | --- |
| 10.28 | 70 |
| 23.93 | 11 |
| 27.47 | 100 |
| 34.07 | 25 |
| 36.71 | 38 |
| 41.63 | 36 |
| 42.99 | 14 |
| 45.58 | 16 |
| 50.60 | 18 |
| 56.70 | 11 |
| 60.62 | 12 |
| 67.53 | 15 |



Structure and simulated X-ray diffraction stick pattern of KPa3Se8 (a structure optimized by DFT (GGA-PBE); Cu Kα).
Kinematic intensities with the Lorentz-polarization factor, no thermal factor.

a = 7.317 Å, b = 7.317 Å, c = 8.494 Å
α = 90.00°, β = 90.00°, γ = 120.00°
Fractional coordinates of all 12 atoms:
K  0.000  0.000  0.000
Pa  0.000  0.000  0.500
Pa  0.333  0.667  0.587
Pa  0.667  0.333  0.413
Se  0.065  0.358  0.339
Se  0.293  0.935  0.339
Se  0.333  0.667  0.891
Se  0.358  0.293  0.661
Se  0.642  0.707  0.339
Se  0.667  0.333  0.109
Se  0.707  0.065  0.661
Se  0.935  0.642  0.661

Most intense lines, 2θ from 10° to 90°, in order of rising 2θ:
| 2theta | I/Imax |
| --- | --- |
| 10.42 | 100 |
| 17.46 | 19 |
| 24.33 | 41 |
| 26.53 | 30 |
| 30.10 | 22 |
| 32.30 | 42 |
| 34.70 | 21 |
| 39.08 | 13 |
| 42.82 | 44 |
| 44.18 | 15 |
| 49.86 | 25 |
| 67.79 | 13 |



Structure and simulated X-ray diffraction stick pattern of KPa2Se7 (a structure optimized by DFT (GGA-PBE); Cu Kα).
Kinematic intensities with the Lorentz-polarization factor, no thermal factor.

a = 7.919 Å, b = 7.919 Å, c = 5.476 Å
α = 90.00°, β = 90.00°, γ = 113.93°
Fractional coordinates of all 10 atoms:
K  0.000  0.000  0.000
Pa  0.286  0.714  0.500
Pa  0.714  0.286  0.500
Se  0.089  0.331  0.500
Se  0.279  0.721  0.000
Se  0.331  0.089  0.500
Se  0.500  0.500  0.500
Se  0.669  0.911  0.500
Se  0.721  0.279  0.000
Se  0.911  0.669  0.500

Most intense lines, 2θ from 10° to 90°, in order of rising 2θ:
| 2theta | I/Imax |
| --- | --- |
| 13.34 | 62 |
| 16.19 | 100 |
| 20.57 | 28 |
| 24.60 | 36 |
| 32.71 | 48 |
| 34.07 | 50 |
| 35.37 | 29 |
| 37.94 | 27 |
| 39.12 | 23 |
| 41.35 | 19 |
| 47.95 | 38 |
| 48.94 | 23 |



Structure and simulated X-ray diffraction stick pattern of KPa6Se12 (a structure optimized by DFT (GGA-PBE); Cu Kα).
Kinematic intensities with the Lorentz-polarization factor, no thermal factor.

a = 8.580 Å, b = 8.580 Å, c = 8.580 Å
α = 105.78°, β = 105.78°, γ = 105.78°
Fractional coordinates of all 19 atoms:
K  0.000  0.000  0.000
Pa  0.259  0.259  0.663
Pa  0.259  0.663  0.259
Pa  0.337  0.741  0.741
Pa  0.663  0.259  0.259
Pa  0.741  0.337  0.741
Pa  0.741  0.741  0.337
Se  0.128  0.500  0.872
Se  0.128  0.872  0.500
Se  0.173  0.432  0.432
Se  0.432  0.173  0.432
Se  0.432  0.432  0.173
Se  0.500  0.128  0.872
Se  0.500  0.872  0.128
Se  0.568  0.568  0.827
Se  0.568  0.827  0.568
Se  0.827  0.568  0.568
Se  0.872  0.128  0.500
Se  0.872  0.500  0.128

Most intense lines, 2θ from 10° to 90°, in order of rising 2θ:
| 2theta | I/Imax |
| --- | --- |
| 11.56 | 67 |
| 12.94 | 36 |
| 21.73 | 82 |
| 23.23 | 53 |
| 26.67 | 35 |
| 34.17 | 88 |
| 35.16 | 100 |
| 39.02 | 68 |
| 39.51 | 31 |
| 42.17 | 53 |
| 44.27 | 27 |
| 55.69 | 28 |



Structure and simulated X-ray diffraction stick pattern of KPa5Se12 (a structure optimized by DFT (GGA-PBE); Cu Kα).
Kinematic intensities with the Lorentz-polarization factor, no thermal factor.

a = 8.632 Å, b = 8.632 Å, c = 8.632 Å
α = 118.44°, β = 109.07°, γ = 101.36°
Fractional coordinates of all 18 atoms:
K  0.000  0.000  0.000
Pa  0.170  0.500  0.670
Pa  0.341  0.841  0.500
Pa  0.500  0.500  0.000
Pa  0.659  0.159  0.500
Pa  0.830  0.500  0.330
Se  0.099  0.287  0.812
Se  0.152  0.454  0.302
Se  0.152  0.850  0.698
Se  0.337  0.201  0.538
Se  0.337  0.799  0.136
Se  0.475  0.287  0.188
Se  0.525  0.713  0.812
Se  0.663  0.201  0.864
Se  0.663  0.799  0.462
Se  0.848  0.150  0.302
Se  0.848  0.546  0.698
Se  0.901  0.713  0.188

Most intense lines, 2θ from 10° to 90°, in order of rising 2θ:
| 2theta | I/Imax |
| --- | --- |
| 12.88 | 32 |
| 13.36 | 30 |
| 20.10 | 31 |
| 26.44 | 16 |
| 33.05 | 100 |
| 34.66 | 51 |
| 39.33 | 24 |
| 40.86 | 15 |
| 44.01 | 18 |
| 44.23 | 13 |
| 61.78 | 17 |
| 69.77 | 14 |



Structure and simulated X-ray diffraction stick pattern of KPaTiSe4 (a structure optimized by DFT (GGA-PBE); Cu Kα).
Kinematic intensities with the Lorentz-polarization factor, no thermal factor.

a = 8.154 Å, b = 8.154 Å, c = 8.154 Å
α = 119.16°, β = 111.00°, γ = 98.88°
Fractional coordinates of all 14 atoms:
K  0.429  0.179  0.250
K  0.571  0.821  0.750
Pa  0.000  0.500  0.500
Pa  0.500  0.500  0.000
Ti  0.000  0.000  0.500
Ti  0.000  0.500  0.000
Se  0.173  0.240  0.933
Se  0.193  0.760  0.433
Se  0.251  0.289  0.539
Se  0.251  0.712  0.961
Se  0.749  0.288  0.039
Se  0.749  0.711  0.461
Se  0.807  0.240  0.567
Se  0.827  0.760  0.067

Most intense lines, 2θ from 10° to 90°, in order of rising 2θ:
| 2theta | I/Imax |
| --- | --- |
| 13.59 | 100 |
| 21.52 | 18 |
| 23.61 | 40 |
| 27.45 | 41 |
| 29.01 | 72 |
| 33.68 | 38 |
| 33.81 | 35 |
| 39.02 | 48 |
| 41.51 | 19 |
| 43.85 | 18 |
| 45.14 | 51 |
| 48.34 | 18 |



Structure and simulated X-ray diffraction stick pattern of K3PaTi2Se6 (a structure optimized by DFT (GGA-PBE); Cu Kα).
Kinematic intensities with the Lorentz-polarization factor, no thermal factor.

a = 6.880 Å, b = 6.880 Å, c = 8.057 Å
α = 98.12°, β = 98.12°, γ = 120.25°
Fractional coordinates of all 12 atoms:
K  0.000  0.000  0.000
K  0.338  0.662  0.000
K  0.662  0.338  0.000
Pa  0.500  0.500  0.500
Ti  0.176  0.824  0.500
Ti  0.824  0.176  0.500
Se  0.084  0.430  0.299
Se  0.213  0.213  0.691
Se  0.430  0.084  0.299
Se  0.570  0.916  0.701
Se  0.787  0.787  0.309
Se  0.916  0.570  0.701

Most intense lines, 2θ from 10° to 90°, in order of rising 2θ:
| 2theta | I/Imax |
| --- | --- |
| 11.45 | 51 |
| 15.39 | 10 |
| 16.76 | 9 |
| 18.79 | 7 |
| 30.24 | 100 |
| 37.73 | 20 |
| 40.74 | 34 |
| 45.62 | 12 |
| 45.80 | 22 |
| 47.37 | 7 |
| 50.83 | 13 |
| 55.74 | 12 |



Structure and simulated X-ray diffraction stick pattern of K3Tm2PaSe6 (a structure optimized by DFT (GGA-PBE); Cu Kα).
Kinematic intensities with the Lorentz-polarization factor, no thermal factor.

a = 7.232 Å, b = 7.232 Å, c = 8.079 Å
α = 98.58°, β = 98.58°, γ = 120.00°
Fractional coordinates of all 12 atoms:
K  0.000  0.000  0.000
K  0.334  0.666  0.000
K  0.666  0.334  0.000
Tm  0.167  0.833  0.500
Tm  0.833  0.167  0.500
Pa  0.500  0.500  0.500
Se  0.094  0.431  0.294
Se  0.232  0.232  0.706
Se  0.431  0.094  0.294
Se  0.569  0.906  0.706
Se  0.768  0.768  0.294
Se  0.906  0.569  0.706

Most intense lines, 2θ from 10° to 90°, in order of rising 2θ:
| 2theta | I/Imax |
| --- | --- |
| 11.48 | 70 |
| 24.92 | 17 |
| 29.12 | 100 |
| 36.84 | 22 |
| 39.92 | 36 |
| 43.34 | 35 |
| 44.98 | 16 |
| 50.18 | 13 |
| 53.07 | 18 |
| 60.38 | 10 |
| 65.95 | 12 |
| 70.84 | 15 |